Simulated powder X-ray diffraction pattern
Compound: InH5N2F2
Radiation: CuKα
Structure: the PBE geometry in Alexandria
Lines closer than 0.1° are merged.

Crystal structure
Unit cell a=7.8960 b=5.4169 c=11.2791 alpha=90.00 beta=128.57 gamma=90.00
Space group P2_1/c (No. 14)
One atom of each set of equivalent atoms:
In 0.2179 0.0735 0.3585 x4
H 0.0631 0.7133 0.6110 x4
H 0.1120 0.5010 0.4278 x4
H 0.2831 0.1447 0.6720 x4
H 0.3961 0.0025 0.8347 x4
H 0.4836 0.7473 0.6683 x4
N 0.0152 0.1370 0.8513 x4
N 0.3662 0.1745 0.7856 x4
F 0.1892 0.6542 0.0015 x4
F 0.4760 0.6924 0.9152 x4

The 8 most intense peaks (2θ = 10–80°), most intense first:
15.82 deg, rel. 100, hkl 1 0 -2
19.23 deg, rel. 49, hkl 0 1 1
29.09 deg, rel. 37, hkl 2 1 -1
19.91 deg, rel. 36, hkl 1 1 -1
27.65 deg, rel. 23, hkl 1 1 1
31.44 deg, rel. 19, hkl 1 0 2
30.62 deg, rel. 17, hkl 2 1 -3
34.70 deg, rel. 14, hkl 0 1 3

Simulated powder X-ray diffraction pattern
Compound: KH4PbI3O2
Radiation: CuKα
Structure: the PBE geometry in Alexandria
Lines closer than 0.1° are merged.

Crystal structure
Unit cell a=10.6025 b=22.5820 c=4.6143 alpha=90.00 beta=90.00 gamma=90.00
Space group Pna2_1 (No. 33)
One atom of each set of equivalent atoms:
K 0.1569 0.1990 0.0000 x4
H 0.0173 0.0029 0.3125 x4
H 0.0210 0.8533 0.0028 x4
H 0.0727 0.0934 0.5002 x4
H 0.1394 0.9920 0.5007 x4
Pb 0.0455 0.4062 0.4939 x4
I 0.0748 0.7192 0.9972 x4
I 0.1549 0.5496 0.4923 x4
I 0.2499 0.3736 0.9928 x4
O 0.0598 0.0141 0.4993 x4
O 0.0689 0.1374 0.5006 x4

The 8 most intense peaks (2θ = 10–80°), most intense first:
25.90 deg, rel. 100, hkl 2 1 1
26.80 deg, rel. 67, hkl 2 2 1
25.11 deg, rel. 57, hkl 1 6 0
38.33 deg, rel. 50, hkl 1 8 1
37.75 deg, rel. 42, hkl 3 5 1
28.25 deg, rel. 42, hkl 2 3 1
22.44 deg, rel. 41, hkl 1 2 1
39.04 deg, rel. 35, hkl 0 0 2

Simulated powder X-ray diffraction pattern
Compound: LiInHg4
Radiation: CuKα
Structure: the PBE geometry in Alexandria
Lines closer than 0.1° are merged.

Crystal structure
Unit cell a=5.2498 b=5.3617 c=10.2445 alpha=90.00 beta=90.05 gamma=90.00
Space group P2_1/c (No. 14)
One atom of each set of equivalent atoms:
Li 0.0000 0.0000 0.0000 x2
In 0.5000 0.0000 0.5000 x2
Hg 0.9995 0.0022 0.3294 x4
Hg 0.4991 0.0002 0.1581 x4

The 8 most intense peaks (2θ = 10–80°), most intense first:
35.55 deg, rel. 100, hkl 1 1 3
33.42 deg, rel. 30, hkl 0 2 0
34.16 deg, rel. 28, hkl 2 0 0
25.28 deg, rel. 23, hkl 1 1 1
48.54 deg, rel. 21, hkl 2 2 0
61.13 deg, rel. 21, hkl 1 3 3
62.06 deg, rel. 20, hkl 3 1 -3
75.26 deg, rel. 11, hkl 2 2 -6